Diffraction record for AcNd4SmEr2. The X-ray diffraction stick pattern is simulated, not measured: it uses a structure optimized by DFT (PBE) and a wavelength of 1.5418 Å.
Neutral-atom scattering factors, no anomalous dispersion.

The 10 most intense peaks (5 to 70 degrees two-theta), by intensity:
2θ 29.8, intensity 100, (1 1 2)
2θ 49.6, intensity 18, (6 0 -4)
2θ 49.7, intensity 18, (4 2 0)
2θ 34.5, intensity 17, (0 2 0)
2θ 34.4, intensity 17, (2 0 -4)
2θ 34.7, intensity 17, (4 0 0)
2θ 59.0, intensity 15, (1 3 2)
2θ 58.8, intensity 14, (5 1 -6)
2θ 59.1, intensity 14, (7 1 -2)
2θ 61.9, intensity 13, (6 2 -4)

Atomic structure:
```
AcNd4SmEr2
1.0
11.5941 0.0000 0.0000
0.0000 5.1930 0.0000
-4.6922 0.0000 9.3034
Ac Nd Sm Er
2 8 2 4
Cartesian
0.0000 0.0000 0.0000
5.7970 2.5965 0.0000
-1.2135 0.0000 8.0932
-0.0343 2.5965 5.7847
1.1392 0.0000 3.5187
2.3183 2.5965 1.2102
4.5836 2.5965 8.0932
5.7627 0.0000 5.7847
6.9362 2.5965 3.5187
8.1154 0.0000 1.2102
-2.3461 0.0000 4.6517
3.4509 2.5965 4.6517
-3.4834 2.5965 6.9249
4.5883 0.0000 2.3785
2.3136 0.0000 6.9249
10.3853 2.5965 2.3785
```



Diffraction record for TbCe3Pb4. The X-ray diffraction stick pattern is simulated, not measured: it uses a structure optimized by DFT (PBE) and a wavelength of 1.5418 Å.
Neutral-atom scattering factors, no anomalous dispersion.

The 10 most intense peaks (5 to 70 degrees two-theta), by intensity:
2θ 31.8, intensity 100, (1 1 4)
2θ 35.3, intensity 38, (2 0 0)
2θ 61.1, intensity 32, (3 1 4)
2θ 54.2, intensity 22, (2 0 8)
2θ 50.7, intensity 14, (2 2 0)
2θ 39.8, intensity 14, (0 0 8)
2θ 66.3, intensity 12, (2 2 8)
2θ 67.2, intensity 12, (1 1 12)
2θ 24.7, intensity 3, (1 1 0)
2θ 19.6, intensity 2, (0 0 4)

Atomic structure:
```
TbCe3Pb4
1.0
5.0914 0.0000 0.0000
0.0000 5.0914 0.0000
0.0000 0.0000 18.1166
Tb Ce Pb
2 6 8
Cartesian
0.0000 0.0000 0.0000
2.5457 2.5457 9.0583
0.0000 0.0000 4.5143
0.0000 0.0000 9.0583
0.0000 0.0000 13.6023
2.5457 2.5457 0.0000
2.5457 2.5457 4.5440
2.5457 2.5457 13.5726
0.0000 2.5457 2.2374
0.0000 2.5457 6.8209
0.0000 2.5457 11.2957
0.0000 2.5457 15.8792
2.5457 0.0000 2.2374
2.5457 0.0000 6.8209
2.5457 0.0000 11.2957
2.5457 0.0000 15.8792
```